Record 1
Calculated powder diffractogram of K2ReB for copper Kα, from a cell relaxed with PBE.
Intensities are scaled so that the largest is 100.

Structural model:
Lattice parameters (Å, degrees): 12.473 12.473 4.153 90.00 90.00 90.00
Space group I-42d (No. 122)
One atom of each set of equivalent atoms:
K 0.002 0.250 0.125 x8
Re 0.000 0.000 0.500 x4
B 0.000 0.000 0.000 x4

Most intense lines, 10 to 90 degrees two-theta, low angle first:
2θ (°), I_rel
14.20, 100
26.76, 66
28.63, 39
32.09, 28
33.72, 36
44.82, 27
49.60, 29
54.05, 16
58.27, 18
62.31, 14

Record 2
Calculated powder diffractogram of Li3Cd2Pb4 for copper Kα, from a cell relaxed with PBE.
Intensities are scaled so that the largest is 100.

Structural model:
Lattice parameters (Å, degrees): 6.307 8.300 8.920 77.48 81.25 80.28
Space group P-1 (No. 2)
One atom of each set of equivalent atoms:
Li 0.091 0.305 0.294 x2
Li 0.325 0.640 0.065 x2
Li 0.335 0.276 0.616 x2
Cd 0.257 0.957 0.508 x2
Cd 0.414 0.617 0.715 x2
Pb 0.031 0.951 0.191 x2
Pb 0.169 0.354 0.939 x2
Pb 0.192 0.608 0.418 x2
Pb 0.494 0.931 0.826 x2

Most intense lines, 10 to 90 degrees two-theta, low angle first:
2θ (°), I_rel
21.71, 100
22.16, 30
23.67, 23
31.00, 26
33.22, 25
33.51, 26
34.59, 67
35.09, 48
37.80, 32
38.62, 53

Record 3
Calculated powder diffractogram of B2PdPt2 for copper Kα, from a cell relaxed with PBE.
Intensities are scaled so that the largest is 100.

Structural model:
Lattice parameters (Å, degrees): 9.039 5.875 5.367 90.00 118.91 90.00
Space group Cc (No. 9)
One atom of each set of equivalent atoms:
B 0.000 0.241 0.000 x4
B 0.194 0.254 0.800 x4
Pd 0.434 0.084 0.076 x4
Pt 0.098 0.074 0.405 x4
Pt 0.257 0.409 0.217 x4

Most intense lines, 10 to 90 degrees two-theta, low angle first:
2θ (°), I_rel
30.46, 37
37.39, 100
37.53, 49
43.27, 21
53.77, 13
54.14, 36
67.61, 17
67.82, 8
71.57, 14
71.78, 9

Record 4
Calculated powder diffractogram of PrMgAl2Zn4 for copper Kα, from a cell relaxed with PBE.
Intensities are scaled so that the largest is 100.

Structural model:
Lattice parameters (Å, degrees): 4.4434 4.4434 26.4268 90.00 90.00 120.00
Space group R-3m (No. 166, hexagonal axes)
One atom of each set of equivalent atoms:
Pr 0.0000 0.0000 0.0000 x3
Mg 0.0000 0.0000 0.5000 x3
Al 0.0000 0.0000 0.2428 x6
Zn 0.0000 0.0000 0.1255 x6
Zn 0.0000 0.0000 0.3969 x6

Most intense lines, 10 to 90 degrees two-theta, low angle first:
2θ (°), I_rel
23.36, 18
24.09, 35
28.70, 29
33.25, 35
35.83, 100
40.61, 100
41.45, 24
55.25, 28
67.90, 17
70.78, 26

Record 5
Calculated powder diffractogram of K2Ag2Au for copper Kα, from a cell relaxed with PBE.
Intensities are scaled so that the largest is 100.

Structural model:
Lattice parameters (Å, degrees): 9.986 6.302 9.445 90.00 100.63 90.00
Space group C2/c (No. 15)
One atom of each set of equivalent atoms:
K 0.151 0.125 0.162 x8
Ag 0.127 0.371 0.506 x8
Au 0.000 0.401 0.750 x4

Most intense lines, 10 to 90 degrees two-theta, low angle first:
2θ (°), I_rel
16.72, 100
20.09, 40
29.95, 33
32.00, 28
33.62, 32
33.82, 24
36.15, 52
38.20, 23
40.86, 29
42.64, 20

Record 6
Calculated powder diffractogram of Pr2InCu4Ge3 for copper Kα, from a cell relaxed with PBE.
Intensities are scaled so that the largest is 100.

Structural model:
Lattice parameters (Å, degrees): 4.238 4.238 10.480 90.00 90.00 90.00
Space group P-4m2 (No. 115)
One atom of each set of equivalent atoms:
Pr 0.000 0.500 0.233 x2
In 0.000 0.000 0.500 x1
Cu 0.000 0.000 0.000 x1
Cu 0.000 0.500 0.646 x2
Cu 0.500 0.500 0.000 x1
Ge 0.000 0.500 0.875 x2
Ge 0.500 0.500 0.500 x1

Most intense lines, 10 to 90 degrees two-theta, low angle first:
2θ (°), I_rel
33.24, 49
34.48, 100
42.67, 54
46.01, 12
48.45, 22
55.13, 23
61.93, 18
66.51, 16
72.84, 21
87.56, 15

Record 7
Calculated powder diffractogram of Ce2PrGe2Pt7 for copper Kα, from a cell relaxed with PBE.
Intensities are scaled so that the largest is 100.

Structural model:
Lattice parameters (Å, degrees): 5.931 5.808 14.190 90.00 98.69 90.00
Space group C2/m (No. 12)
One atom of each set of equivalent atoms:
Ce 0.117 0.000 0.359 x4
Pr 0.000 0.000 0.000 x2
Ge 0.096 0.500 0.256 x4
Pt 0.000 0.500 0.000 x2
Pt 0.125 0.500 0.430 x4
Pt 0.190 0.251 0.841 x8

Most intense lines, 10 to 90 degrees two-theta, low angle first:
2θ (°), I_rel
31.46, 35
31.90, 30
33.40, 38
33.54, 57
34.91, 86
36.42, 100
36.82, 47
43.66, 95
43.88, 36
62.75, 30

Record 8
Calculated powder diffractogram of Ba2MgIn2Bi4 for copper Kα, from a cell relaxed with PBE.
Intensities are scaled so that the largest is 100.

Structural model:
Lattice parameters (Å, degrees): 17.219 5.310 7.281 90.00 110.09 90.00
Space group C2/m (No. 12)
One atom of each set of equivalent atoms:
Ba 0.132 0.000 0.122 x4
Mg 0.000 0.000 0.500 x2
In 0.163 0.500 0.499 x4
Bi 0.013 0.500 0.770 x4
Bi 0.200 0.000 0.707 x4

Most intense lines, 10 to 90 degrees two-theta, low angle first:
2θ (°), I_rel
23.52, 93
27.79, 52
29.61, 75
29.96, 40
30.73, 100
31.21, 47
33.23, 32
33.76, 73
39.56, 42
44.27, 30